The following is a computed X-ray diffraction stick pattern of MgSnSe2N. It was derived from a cell relaxed with GGA-PBE, using Cu Kα (λ = 1.5418 Å).

a = 5.373 Å, b = 5.373 Å, c = 4.035 Å
α = 90.00°, β = 90.00°, γ = 90.00°
Space group P4/mmm (No. 123)
Symmetry-distinct sites (fractional):
1 Mg 0.000 0.000 0.000 (multiplicity 1)
2 Sn 0.500 0.500 0.500 (multiplicity 1)
3 Se 0.000 0.500 0.500 (multiplicity 2)
4 N 0.500 0.500 0.000 (multiplicity 1)

Most intense lines, 15° ≤ 2θ ≤ 90°, by angle:
2θ 16.50, I = 65, hkl 1 0 0; 2θ 22.03, I = 80, hkl 0 0 1; 2θ 27.65, I = 56, hkl 1 0 1; 2θ 33.35, I = 100, hkl 2 0 0; 2θ 40.33, I = 68, hkl 2 0 1; 2θ 43.85, I = 34, hkl 2 1 1; 2θ 47.88, I = 36, hkl 2 2 0; 2θ 53.30, I = 31, hkl 2 2 1; 2θ 57.09, I = 42, hkl 2 0 2; 2θ 79.79, I = 26, hkl 4 2 0